Computed X-ray powder pattern
Compound: K2LiLuCl6
Radiation: copper Kα
Structure: DFT lattice parameters and positions (PBE)
Intensities are scaled so that the largest is 100.

Peak list (6 most intense, 15 to 90 degrees two-theta, by angle)
Position (°2θ), intensity, (hkl)
17.3, 74, 2 0 0
24.5, 78, 2 2 0
28.8, 83, 3 1 1
34.9, 100, 4 0 0
38.2, 40, 3 3 1
50.2, 65, 4 4 0

Crystal structure
```
data_K2LiLuCl6
_chemical_formula_sum 'K8 Li4 Lu4 Cl24'
_space_group_name_H-M_alt 'F m -3 m'
_space_group_IT_number 225
_space_group_name_Hall '-F 4 2 3'
_cell_length_a 10.2806
_cell_length_b 10.2806
_cell_length_c 10.2806
_cell_angle_alpha 90.00
_cell_angle_beta 90.00
_cell_angle_gamma 90.00
loop_
_atom_site_label
_atom_site_type_symbol
_atom_site_fract_x
_atom_site_fract_y
_atom_site_fract_z
K1 K 0.2500 0.2500 0.2500
Li1 Li 0.0000 0.0000 0.0000
Lu1 Lu 0.0000 0.0000 0.5000
Cl1 Cl 0.0000 0.0000 0.2499
```

=====

Computed X-ray powder pattern
Compound: K2LiMoCl6
Radiation: copper Kα
Structure: DFT lattice parameters and positions (PBE)
Intensities are scaled so that the largest is 100.

Peak list (6 most intense, 15 to 90 degrees two-theta, by angle)
Position (°2θ), intensity, (hkl)
15.2, 72, 1 1 1
17.6, 35, 2 0 0
25.0, 41, 2 2 0
30.8, 49, 2 2 2
35.7, 100, 4 0 0
51.3, 62, 4 4 0

Crystal structure
```
data_K2LiMoCl6
_chemical_formula_sum 'K8 Li4 Mo4 Cl24'
_space_group_name_H-M_alt 'F m -3 m'
_space_group_IT_number 225
_space_group_name_Hall '-F 4 2 3'
_cell_length_a 10.0696
_cell_length_b 10.0696
_cell_length_c 10.0696
_cell_angle_alpha 90.00
_cell_angle_beta 90.00
_cell_angle_gamma 90.00
loop_
_atom_site_label
_atom_site_type_symbol
_atom_site_fract_x
_atom_site_fract_y
_atom_site_fract_z
K1 K 0.2500 0.2500 0.2500
Li1 Li 0.0000 0.0000 0.0000
Mo1 Mo 0.0000 0.0000 0.5000
Cl1 Cl 0.0000 0.0000 0.2557
```

=====

Computed X-ray powder pattern
Compound: K2LiSmCl6
Radiation: copper Kα
Structure: DFT lattice parameters and positions (PBE)
Intensities are scaled so that the largest is 100.

Peak list (6 most intense, 15 to 90 degrees two-theta, by angle)
Position (°2θ), intensity, (hkl)
16.9, 61, 2 0 0
24.0, 66, 2 2 0
28.2, 70, 3 1 1
34.1, 100, 4 0 0
37.3, 38, 3 3 1
49.0, 65, 4 4 0

Crystal structure
```
data_K2LiSmCl6
_chemical_formula_sum 'K8 Li4 Sm4 Cl24'
_space_group_name_H-M_alt 'F m -3 m'
_space_group_IT_number 225
_space_group_name_Hall '-F 4 2 3'
_cell_length_a 10.5073
_cell_length_b 10.5073
_cell_length_c 10.5073
_cell_angle_alpha 90.00
_cell_angle_beta 90.00
_cell_angle_gamma 90.00
loop_
_atom_site_label
_atom_site_type_symbol
_atom_site_fract_x
_atom_site_fract_y
_atom_site_fract_z
K1 K 0.2500 0.2500 0.2500
Li1 Li 0.0000 0.0000 0.0000
Sm1 Sm 0.0000 0.0000 0.5000
Cl1 Cl 0.0000 0.0000 0.2445
```

=====

Computed X-ray powder pattern
Compound: K2MgCl4
Radiation: copper Kα
Structure: DFT lattice parameters and positions (PBE)
Intensities are scaled so that the largest is 100.

Peak list (6 most intense, 15 to 90 degrees two-theta, by angle)
Position (°2θ), intensity, (hkl)
25.2, 34, 1 1 0
27.6, 42, 1 1 2
34.1, 100, 0 0 6
35.9, 68, 2 0 0
50.4, 34, 2 0 6
63.3, 34, 2 2 6

Crystal structure
```
data_K2MgCl4
_chemical_formula_sum 'K4 Mg2 Cl8'
_space_group_name_H-M_alt 'I 4/m m m'
_space_group_IT_number 139
_space_group_name_Hall '-I 4 2'
_cell_length_a 5.0054
_cell_length_b 5.0054
_cell_length_c 15.7604
_cell_angle_alpha 90.00
_cell_angle_beta 90.00
_cell_angle_gamma 90.00
loop_
_atom_site_label
_atom_site_type_symbol
_atom_site_fract_x
_atom_site_fract_y
_atom_site_fract_z
K1 K 0.0000 0.0000 0.1426
Mg1 Mg 0.0000 0.0000 0.5000
Cl1 Cl 0.0000 0.0000 0.3406
Cl2 Cl 0.0000 0.5000 0.0000
```

=====

Computed X-ray powder pattern
Compound: KMnCl
Radiation: copper Kα
Structure: DFT lattice parameters and positions (PBE)
Intensities are scaled so that the largest is 100.

Peak list (6 most intense, 15 to 90 degrees two-theta, by angle)
Position (°2θ), intensity, (hkl)
20.5, 38, 1 0 1
26.2, 55, 1 2 1
29.1, 100, 2 0 0
32.5, 37, 0 4 0
41.7, 34, 2 0 2
44.2, 57, 2 4 0

Crystal structure
```
data_KMnCl
_chemical_formula_sum 'K4 Mn4 Cl4'
_space_group_name_H-M_alt 'I m m a'
_space_group_IT_number 74
_space_group_name_Hall '-I 2b 2'
_cell_length_a 6.1408
_cell_length_b 11.0093
_cell_length_c 6.1237
_cell_angle_alpha 90.00
_cell_angle_beta 90.00
_cell_angle_gamma 90.00
loop_
_atom_site_label
_atom_site_type_symbol
_atom_site_fract_x
_atom_site_fract_y
_atom_site_fract_z
K1 K 0.0000 0.2500 0.0080
Mn1 Mn 0.0000 0.0000 0.5000
Cl1 Cl 0.0000 0.2500 0.5086
```

=====

Computed X-ray powder pattern
Compound: K3NaMnCl6
Radiation: copper Kα
Structure: DFT lattice parameters and positions (PBE)
Intensities are scaled so that the largest is 100.

Peak list (6 most intense, 15 to 90 degrees two-theta, by angle)
Position (°2θ), intensity, (hkl)
15.1, 45, 0 1 2
31.2, 62, 1 3 1
33.1, 30, 3 1 2
34.0, 54, 2 1 4
35.1, 100, 2 2 3
45.5, 32, 3 2 4

Crystal structure
```
data_K3NaMnCl6
_chemical_formula_sum 'K18 Na6 Mn6 Cl36'
_space_group_name_H-M_alt 'R -3 c'
_space_group_IT_number 167
_space_group_name_Hall '-R 3 2"c'
_cell_length_a 12.1880
_cell_length_b 12.1880
_cell_length_c 14.0672
_cell_angle_alpha 90.00
_cell_angle_beta 90.00
_cell_angle_gamma 120.00
loop_
_atom_site_label
_atom_site_type_symbol
_atom_site_fract_x
_atom_site_fract_y
_atom_site_fract_z
K1 K 0.0000 0.3775 0.2500
Na1 Na 0.0000 0.0000 0.2500
Mn1 Mn 0.0000 0.0000 0.0000
Cl1 Cl 0.0272 0.1805 0.3914
```

=====

Computed X-ray powder pattern
Compound: K3Mo2Cl9
Radiation: copper Kα
Structure: DFT lattice parameters and positions (PBE)
Intensities are scaled so that the largest is 100.

Peak list (6 most intense, 15 to 90 degrees two-theta, by angle)
Position (°2θ), intensity, (hkl)
15.1, 100, 1 0 1
24.8, 25, 1 1 0
29.4, 25, 1 0 5
32.6, 35, 2 0 3
35.4, 28, 2 0 4
50.8, 22, 2 2 0

Crystal structure
```
data_K3Mo2Cl9
_chemical_formula_sum 'K6 Mo4 Cl18'
_space_group_name_H-M_alt 'P 63/m'
_space_group_IT_number 176
_space_group_name_Hall '-P 6c'
_cell_length_a 7.1917
_cell_length_b 7.1917
_cell_length_c 17.4328
_cell_angle_alpha 90.00
_cell_angle_beta 90.00
_cell_angle_gamma 120.00
loop_
_atom_site_label
_atom_site_type_symbol
_atom_site_fract_x
_atom_site_fract_y
_atom_site_fract_z
K1 K 0.0000 0.0000 0.2500
K2 K 0.3333 0.6667 0.0661
Mo1 Mo 0.3333 0.6667 0.6703
Cl1 Cl 0.0041 0.5459 0.7500
Cl2 Cl 0.1315 0.3518 0.5922
```

=====

Computed X-ray powder pattern
Compound: KOsNCl4O2
Radiation: copper Kα
Structure: DFT lattice parameters and positions (PBE)
Intensities are scaled so that the largest is 100.

Peak list (6 most intense, 15 to 90 degrees two-theta, by angle)
Position (°2θ), intensity, (hkl)
16.7, 100, 1 1 1
18.4, 47, 0 2 1
18.8, 24, 2 0 0
24.0, 41, 0 0 2
26.4, 46, 2 2 1
36.1, 31, 2 4 1

Crystal structure
```
data_KOsNCl4O2
_chemical_formula_sum 'K4 Os4 N4 Cl16 O8'
_space_group_name_H-M_alt 'C m c 21'
_space_group_IT_number 36
_space_group_name_Hall 'C 2c -2'
_cell_length_a 9.4491
_cell_length_b 12.7513
_cell_length_c 7.4097
_cell_angle_alpha 90.00
_cell_angle_beta 90.00
_cell_angle_gamma 90.00
loop_
_atom_site_label
_atom_site_type_symbol
_atom_site_fract_x
_atom_site_fract_y
_atom_site_fract_z
K1 K 0.0000 0.1504 0.0000
Os1 Os 0.0000 0.3392 0.5047
N1 N 0.0000 0.3323 0.7329
Cl1 Cl 0.1688 0.2001 0.4907
Cl2 Cl 0.1762 0.4626 0.4634
O1 O 0.0000 0.0792 0.6284
O2 O 0.0000 0.3169 0.2356
```